This entry pairs a crystal structure of Sm3Dy3Th2 with its theoretical X-ray diffraction stick pattern. Radiation: Cu Kα (weighted mean of Kα1 and Kα2). Structure: the PBE geometry in Alexandria.
Peak positions follow from Bragg's law for the DFT cell and can differ from measured ones.

Most intense lines, 2θ = 10–90°, sorted by position:
index  Position (°2θ)  I_rel
2 0 -1  30.55  100
1 1 1  35.37  34
2 -2 0  35.53  17
2 2 -2  50.91  18
3 -1 1  51.02  18
3 1 0  60.53  29
2 -4 1  60.74  14
4 0 -2  63.58  9
5 -1 0  83.17  7
3 3 -1  85.58  7

Structure:
```
Sm3Dy3Th2
1.0
6.1964 0.0000 0.0000
-2.0422 5.8552 0.0000
-2.0841 -2.9191 7.1751
Sm Dy Th
3 3 2
Direct
0.0000 0.0000 0.0000
0.1300 0.6300 0.2595
0.8700 0.3700 0.7405
0.3722 0.8723 0.7448
0.5000 0.5000 0.0000
0.6278 0.1277 0.2552
0.2515 0.2515 0.5028
0.7485 0.7485 0.4972
```